Structure and calculated PXRD pattern of Sr (a crystal structure in the Materials Project, relaxed with PBE; λ = 1.5418 Å (Cu Kα)).

Atomic structure:
abc: 7.452 7.452 3.999
angles: 90.00 90.00 90.00
Atoms (fractional coordinates):
Sr  0.000  0.250  0.375
Sr  0.000  0.750  0.625
Sr  0.500  0.250  0.125
Sr  0.500  0.750  0.875

Main lines, sorted by position (10° ≤ 2θ ≤ 90°):
- 23.88 deg, I = 100
- 25.27 deg, I = 87
- 34.03 deg, I = 40
- 35.05 deg, I = 74
- 42.86 deg, I = 21
- 48.71 deg, I = 29
- 49.65 deg, I = 27
- 60.75 deg, I = 29



Structure and calculated PXRD pattern of ThFe2SiC (a crystal structure in the Materials Project, relaxed with PBE; λ = 1.5418 Å (Cu Kα)).

Atomic structure:
abc: 5.690 5.690 6.790
angles: 90.00 90.00 139.98
Atoms (fractional coordinates):
Th  0.059  0.941  0.750
Th  0.941  0.059  0.250
Fe  0.336  0.664  0.561
Fe  0.336  0.664  0.939
Fe  0.664  0.336  0.061
Fe  0.664  0.336  0.439
Si  0.225  0.775  0.250
Si  0.775  0.225  0.750
C  0.500  0.500  0.000
C  0.500  0.500  0.500

Main lines, sorted by position (10° ≤ 2θ ≤ 90°):
- 21.15 deg, I = 17
- 24.32 deg, I = 24
- 31.21 deg, I = 19
- 34.10 deg, I = 20
- 36.10 deg, I = 100
- 36.65 deg, I = 45
- 46.64 deg, I = 16
- 60.37 deg, I = 16



Structure and calculated PXRD pattern of BaMg14Zr (a crystal structure in the Materials Project, relaxed with PBE; λ = 1.5418 Å (Cu Kα)).

Atomic structure:
abc: 10.524 6.604 6.604
angles: 59.83 90.00 90.00
Atoms (fractional coordinates):
Ba  0.000  0.000  0.000
Mg  0.000  0.498  0.995
Mg  0.000  0.995  0.498
Mg  0.244  0.659  0.659
Mg  0.262  0.171  0.649
Mg  0.262  0.649  0.171
Mg  0.266  0.169  0.169
Mg  0.500  0.497  0.497
Mg  0.500  0.500  0.990
Mg  0.500  0.990  0.500
Mg  0.500  0.995  0.995
Mg  0.734  0.169  0.169
Mg  0.738  0.171  0.649
Mg  0.738  0.649  0.171
Mg  0.756  0.659  0.659
Zr  0.000  0.481  0.481

Main lines, sorted by position (10° ≤ 2θ ≤ 90°):
- 15.48 deg, I = 15
- 17.64 deg, I = 23
- 31.30 deg, I = 30
- 32.47 deg, I = 16
- 34.08 deg, I = 24
- 35.76 deg, I = 100
- 46.95 deg, I = 19
- 62.10 deg, I = 20



Structure and calculated PXRD pattern of Sr2As3Ir3 (a crystal structure in the Materials Project, relaxed with PBE; λ = 1.5418 Å (Cu Kα)).

Atomic structure:
abc: 5.924 5.924 20.625
angles: 90.00 90.00 90.00
Atoms (fractional coordinates):
Sr  0.000  0.000  0.250
Sr  0.000  0.000  0.750
As  0.000  0.000  0.000
As  0.000  0.000  0.391
As  0.000  0.000  0.609
Ir  0.000  0.000  0.108
Ir  0.000  0.000  0.500
Ir  0.000  0.000  0.892

Main lines, sorted by position (10° ≤ 2θ ≤ 90°):
- 14.95 deg, I = 100
- 21.21 deg, I = 45
- 30.17 deg, I = 19
- 33.83 deg, I = 28
- 38.07 deg, I = 13
- 41.11 deg, I = 11
- 46.68 deg, I = 11
- 49.30 deg, I = 16